# 1
# ZnSb2N4
Theoretical powder diffraction line list, Cu Kα. Input: a crystal structure in the Materials Project, relaxed with PBE.

Structural model:
a b c (Å): 8.9463 8.9463 8.9463
angles (deg): 90.00 90.00 90.00
Space group Fd-3m (No. 227, origin choice 2)
Asymmetric unit:
Zn  0.1250  0.1250  0.1250 (multiplicity 8)
Sb  0.0000  0.0000  0.5000 (multiplicity 16)
N  0.0098  0.0098  0.7402 (multiplicity 32)

Largest 6 diffraction maxima, in order of rising 2θ, 10° ≤ 2θ ≤ 90°:
- 2θ 17.17, intensity 34
- 2θ 33.21, intensity 100
- 2θ 34.74, intensity 36
- 2θ 40.33, intensity 24
- 2θ 53.20, intensity 36
- 2θ 58.35, intensity 42

---

# 2
# AlPb3OF9
Theoretical powder diffraction line list, Cu Kα. Input: a crystal structure in the Materials Project, relaxed with PBE.

Structural model:
```
data_AlPb3OF9
_symmetry_space_group_name_H-M 'P 1 21/c 1'
_symmetry_Int_Tables_number 14
_symmetry_space_group_name_Hall '-P 2ybc'
_cell_length_a 5.8707
_cell_length_b 5.7545
_cell_length_c 26.8060
_cell_angle_alpha 90.00
_cell_angle_beta 100.74
_cell_angle_gamma 90.00
loop_
_atom_site_label
_atom_site_type_symbol
_atom_site_fract_x
_atom_site_fract_y
_atom_site_fract_z
_atom_site_occupancy
Al1 Al 0.1625 0.1988 0.4030 1
Pb1 Pb 0.0302 0.6984 0.3091 1
Pb2 Pb 0.3432 0.2138 0.0748 1
Pb3 Pb 0.4350 0.6703 0.1946 1
O1 O 0.0672 0.5832 0.5011 1
F1 F 0.0057 0.5292 0.6035 1
F2 F 0.0271 0.1448 0.3337 1
F3 F 0.0831 0.5371 0.0802 1
F4 F 0.2501 0.0697 0.7549 1
F5 F 0.2559 0.5620 0.7497 1
F6 F 0.3100 0.2319 0.4665 1
F7 F 0.3165 0.5772 0.8941 1
F8 F 0.3493 0.2483 0.6634 1
F9 F 0.4001 0.1359 0.8800 1
```

Largest 6 diffraction maxima, in order of rising 2θ, 10° ≤ 2θ ≤ 90°:
- 2θ 23.70, intensity 45
- 2θ 24.13, intensity 61
- 2θ 27.09, intensity 43
- 2θ 27.22, intensity 100
- 2θ 27.85, intensity 77
- 2θ 44.12, intensity 66

---

# 3
# K2ScTlCl6
Theoretical powder diffraction line list, Cu Kα. Input: a crystal structure in the Materials Project, relaxed with PBE.

Structural model:
```
data_K2ScTlCl6
_symmetry_space_group_name_H-M 'F m -3 m'
_symmetry_Int_Tables_number 225
_symmetry_space_group_name_Hall '-F 4 2 3'
_cell_length_a 11.0724
_cell_length_b 11.0724
_cell_length_c 11.0724
_cell_angle_alpha 90.00
_cell_angle_beta 90.00
_cell_angle_gamma 90.00
loop_
_atom_site_label
_atom_site_type_symbol
_atom_site_fract_x
_atom_site_fract_y
_atom_site_fract_z
_atom_site_occupancy
K1 K 0.2500 0.2500 0.2500 1
Sc1 Sc 0.0000 0.0000 0.0000 1
Tl1 Tl 0.0000 0.0000 0.5000 1
Cl1 Cl 0.0000 0.0000 0.2253 1
```

Largest 6 diffraction maxima, in order of rising 2θ, 10° ≤ 2θ ≤ 90°:
- 2θ 16.01, intensity 97
- 2θ 22.72, intensity 100
- 2θ 26.70, intensity 53
- 2θ 32.34, intensity 85
- 2θ 36.28, intensity 45
- 2θ 46.39, intensity 55

---

# 4
# NaBiSe2
Theoretical powder diffraction line list, Cu Kα. Input: a crystal structure in the Materials Project, relaxed with PBE.

Structural model:
```
data_NaBiSe2
_symmetry_space_group_name_H-M 'P 4/m m m'
_symmetry_Int_Tables_number 123
_symmetry_space_group_name_Hall '-P 4 2'
_cell_length_a 4.2594
_cell_length_b 4.2594
_cell_length_c 5.8364
_cell_angle_alpha 90.00
_cell_angle_beta 90.00
_cell_angle_gamma 90.00
loop_
_atom_site_label
_atom_site_type_symbol
_atom_site_fract_x
_atom_site_fract_y
_atom_site_fract_z
_atom_site_occupancy
Na1 Na 0.0000 0.0000 0.0000 1
Bi1 Bi 0.5000 0.5000 0.5000 1
Se1 Se 0.0000 0.0000 0.5000 1
Se2 Se 0.5000 0.5000 0.0000 1
```

Largest 6 diffraction maxima, in order of rising 2θ, 10° ≤ 2θ ≤ 90°:
- 2θ 15.18, intensity 51
- 2θ 20.86, intensity 50
- 2θ 29.66, intensity 100
- 2θ 30.64, intensity 46
- 2θ 43.17, intensity 72
- 2θ 53.25, intensity 39

---

# 5
# ThCN
Theoretical powder diffraction line list, Cu Kα. Input: a crystal structure in the Materials Project, relaxed with PBE.

Structural model:
```
data_ThCN
_symmetry_space_group_name_H-M 'C 1 2/m 1'
_symmetry_Int_Tables_number 12
_symmetry_space_group_name_Hall '-C 2y'
_cell_length_a 6.9977
_cell_length_b 3.9793
_cell_length_c 7.3693
_cell_angle_alpha 90.00
_cell_angle_beta 94.01
_cell_angle_gamma 90.00
loop_
_atom_site_label
_atom_site_type_symbol
_atom_site_fract_x
_atom_site_fract_y
_atom_site_fract_z
_atom_site_occupancy
Th1 Th 0.1792 0.0000 0.1992 1
C1 C 0.0298 0.5000 0.4211 1
N1 N 0.1560 0.0000 0.8776 1
```

Largest 6 diffraction maxima, in order of rising 2θ, 10° ≤ 2θ ≤ 90°:
- 2θ 12.04, intensity 33
- 2θ 24.21, intensity 41
- 2θ 28.14, intensity 100
- 2θ 28.92, intensity 33
- 2θ 29.08, intensity 41
- 2θ 36.29, intensity 37

---

# 6
# U2AsN2
Theoretical powder diffraction line list, Cu Kα. Input: a crystal structure in the Materials Project, relaxed with PBE.

Structural model:
```
data_U2AsN2
_symmetry_space_group_name_H-M 'P -3 m 1'
_symmetry_Int_Tables_number 164
_symmetry_space_group_name_Hall '-P 3 2"'
_cell_length_a 3.8226
_cell_length_b 3.8226
_cell_length_c 6.7503
_cell_angle_alpha 90.00
_cell_angle_beta 90.00
_cell_angle_gamma 120.00
loop_
_atom_site_label
_atom_site_type_symbol
_atom_site_fract_x
_atom_site_fract_y
_atom_site_fract_z
_atom_site_occupancy
U1 U 0.3333 0.6667 0.2102 1
As1 As 0.0000 0.0000 0.5000 1
N1 N 0.3333 0.6667 0.8741 1
```

Largest 6 diffraction maxima, in order of rising 2θ, 10° ≤ 2θ ≤ 90°:
- 2θ 26.41, intensity 15
- 2θ 30.07, intensity 100
- 2θ 38.08, intensity 37
- 2θ 47.58, intensity 29
- 2θ 48.95, intensity 17
- 2θ 57.31, intensity 17

---

# 7
# LaY
Theoretical powder diffraction line list, Cu Kα. Input: a crystal structure in the Materials Project, relaxed with PBE.

Structural model:
```
data_LaY
_symmetry_space_group_name_H-M 'R 3 m'
_symmetry_Int_Tables_number 160
_symmetry_space_group_name_Hall 'R 3 -2"'
_cell_length_a 3.6868
_cell_length_b 3.6868
_cell_length_c 53.1812
_cell_angle_alpha 90.00
_cell_angle_beta 90.00
_cell_angle_gamma 120.00
loop_
_atom_site_label
_atom_site_type_symbol
_atom_site_fract_x
_atom_site_fract_y
_atom_site_fract_z
_atom_site_occupancy
La1 La 0.0000 0.0000 0.0000 1
La2 La 0.0000 0.0000 0.1109 1
La3 La 0.0000 0.0000 0.5018 1
Y1 Y 0.0000 0.0000 0.3880 1
Y2 Y 0.0000 0.0000 0.6104 1
Y3 Y 0.0000 0.0000 0.8905 1
```

Largest 6 diffraction maxima, in order of rising 2θ, 10° ≤ 2θ ≤ 90°:
- 2θ 28.15, intensity 47
- 2θ 30.25, intensity 49
- 2θ 31.07, intensity 100
- 2θ 32.71, intensity 91
- 2θ 49.44, intensity 37
- 2θ 59.07, intensity 43

---

# 8
# YMn6Al6
Theoretical powder diffraction line list, Cu Kα. Input: a crystal structure in the Materials Project, relaxed with PBE.

Structural model:
```
data_YMn6Al6
_symmetry_space_group_name_H-M 'I m m m'
_symmetry_Int_Tables_number 71
_symmetry_space_group_name_Hall '-I 2 2'
_cell_length_a 4.9427
_cell_length_b 8.6298
_cell_length_c 8.7730
_cell_angle_alpha 90.00
_cell_angle_beta 90.00
_cell_angle_gamma 90.00
loop_
_atom_site_label
_atom_site_type_symbol
_atom_site_fract_x
_atom_site_fract_y
_atom_site_fract_z
_atom_site_occupancy
Y1 Y 0.0000 0.0000 0.0000 1
Mn1 Mn 0.0000 0.2621 0.5000 1
Mn2 Mn 0.2500 0.2500 0.2500 1
Al1 Al 0.0000 0.0000 0.3465 1
Al2 Al 0.0000 0.3381 0.0000 1
Al3 Al 0.0000 0.5000 0.3031 1
```

Largest 6 diffraction maxima, in order of rising 2θ, 10° ≤ 2θ ≤ 90°:
- 2θ 20.58, intensity 30
- 2θ 29.30, intensity 30
- 2θ 41.16, intensity 36
- 2θ 41.54, intensity 52
- 2θ 41.92, intensity 100
- 2θ 47.17, intensity 54